# CsAcNiF6
Theoretical powder diffractogram, Cu Ka. Input: a cell relaxed with GGA+U.

Main lines, low angle first (2θ from 10° to 90°):
2theta, I/Imax, hkl
14.3, 31, 1 0 1
17.0, 33, 0 0 2
23.1, 36, 2 0 0
25.7, 100, 1 2 1
28.8, 45, 2 0 2
35.6, 31, 1 2 3
42.2, 31, 3 2 1
47.4, 35, 2 2 4

Cell and atoms:
Cell: 7.6982 8.3785 10.4129 Å, 90.00 90.00 90.00°
Space group Imma (No. 74)
Unique sites:
Cs 0.0000 0.2500 0.0827
Ac 0.0000 0.0000 0.5000
Ni 0.2500 0.2500 0.7500
F 0.0000 0.2500 0.3779
F 0.0000 0.2500 0.6758
F 0.2290 0.0756 0.8833